Computed X-ray diffraction stick pattern of Lu5Ir3 for λ = 1.5418 Å (Cu Kα), from a crystal structure in the Materials Project, relaxed with GGA-PBE.

```
16
Lattice="8.1658 0.0000 0.0000 -4.0829 7.0718 0.0000 0.0000 0.0000 6.0825" Properties=species:S:1:pos:R:3 pbc="T T T"
Lu -1.0545 1.8264 1.5206
Lu -3.0284 5.2454 4.5619
Lu 2.1090 0.0000 1.5206
Lu 1.0545 1.8264 4.5619
Lu 0.0000 4.7145 0.0000
Lu 0.0000 4.7145 3.0413
Lu 4.0829 2.3573 0.0000
Lu 4.0829 2.3573 3.0413
Lu 6.0568 0.0000 4.5619
Lu 3.0284 5.2454 1.5206
Ir -1.5957 2.7638 4.5619
Ir -2.4872 4.3080 1.5206
Ir 3.1914 0.0000 4.5619
Ir 1.5957 2.7638 1.5206
Ir 4.9744 0.0000 1.5206
Ir 2.4872 4.3080 4.5619
```

The 10 most intense peaks (10° ≤ 2θ ≤ 90°), in order of rising 2θ:
- 12.52 deg, I 15
- 29.37 deg, I 26
- 33.53 deg, I 25
- 36.73 deg, I 100
- 36.85 deg, I 100
- 38.18 deg, I 64
- 48.80 deg, I 27
- 54.11 deg, I 21
- 57.01 deg, I 28
- 74.21 deg, I 19

Computed X-ray diffraction stick pattern of MgCd for λ = 1.5418 Å (Cu Kα), from a crystal structure in the Materials Project, relaxed with GGA-PBE.

```
6
Lattice="3.1594 0.0000 0.0000 -1.5797 2.7361 0.0000 0.0000 0.0000 15.5193" Properties=species:S:1:pos:R:3 pbc="T T T"
Mg 0.0000 0.0000 0.0000
Mg 0.0000 0.0000 5.1596
Mg 1.5797 0.9120 7.7700
Cd 0.0000 0.0000 10.3294
Cd 1.5797 0.9120 2.5840
Cd 1.5797 0.9120 12.9520
```

The 10 most intense peaks (10° ≤ 2θ ≤ 90°), in order of rising 2θ:
- 11.40 deg, I 47
- 32.73 deg, I 26
- 33.25 deg, I 20
- 34.71 deg, I 37
- 37.17 deg, I 100
- 48.43 deg, I 17
- 58.42 deg, I 17
- 63.80 deg, I 19
- 69.76 deg, I 20
- 71.31 deg, I 14

Computed X-ray diffraction stick pattern of Ce2In8Rh for λ = 1.5418 Å (Cu Kα), from a crystal structure in the Materials Project, relaxed with GGA-PBE.

```
11
Lattice="4.6974 0.0000 0.0000 0.0000 4.6974 0.0000 0.0000 0.0000 12.2329" Properties=species:S:1:pos:R:3 pbc="T T T"
Ce 0.0000 0.0000 2.3708
Ce 0.0000 0.0000 9.8621
In 0.0000 2.3487 0.0000
In 0.0000 2.3487 4.6308
In 0.0000 2.3487 7.6021
In 2.3487 0.0000 0.0000
In 2.3487 0.0000 4.6308
In 2.3487 0.0000 7.6021
In 2.3487 2.3487 2.3609
In 2.3487 2.3487 9.8720
Rh 0.0000 0.0000 6.1164
```

The 10 most intense peaks (10° ≤ 2θ ≤ 90°), in order of rising 2θ:
- 30.63 deg, I 34
- 34.84 deg, I 100
- 36.73 deg, I 18
- 38.32 deg, I 56
- 40.08 deg, I 10
- 54.13 deg, I 23
- 55.32 deg, I 19
- 67.06 deg, I 28
- 67.42 deg, I 14
- 68.26 deg, I 11

Computed X-ray diffraction stick pattern of Hf9BMo4 for λ = 1.5418 Å (Cu Kα), from a crystal structure in the Materials Project, relaxed with GGA-PBE.

```
28
Lattice="8.5594 0.0000 0.0000 -4.2797 7.4127 0.0000 0.0000 0.0000 8.5125" Properties=species:S:1:pos:R:3 pbc="T T T"
Hf -1.6204 4.0062 2.1281
Hf 0.0000 3.0199 4.7279
Hf 0.0000 3.0199 8.0409
Hf -1.6644 5.9027 4.7279
Hf -1.6644 5.9027 8.0409
Hf 2.6153 1.5099 0.4716
Hf 2.6153 1.5099 3.7847
Hf 1.6204 4.0062 2.1281
Hf 0.0000 6.8129 2.1281
Hf 4.2797 0.5998 6.3844
Hf 2.6593 3.4065 6.3844
Hf 1.6644 5.9027 4.7279
Hf 1.6644 5.9027 8.0409
Hf 5.9441 1.5099 0.4716
Hf 5.9441 1.5099 3.7847
Hf 4.2797 4.3928 0.4716
Hf 4.2797 4.3928 3.7847
Hf 5.9002 3.4065 6.3844
B 0.0000 4.9418 6.3844
B 4.2797 2.4709 2.1281
Mo 0.0000 0.0000 0.0000
Mo 0.0000 0.0000 4.2563
Mo 0.0000 1.6486 2.1281
Mo -2.8520 6.5884 2.1281
Mo 1.4277 0.8243 6.3844
Mo 2.8520 6.5884 2.1281
Mo 7.1317 0.8243 6.3844
Mo 4.2797 5.7641 6.3844
```

The 10 most intense peaks (10° ≤ 2θ ≤ 90°), in order of rising 2θ:
- 31.99 deg, I 70
- 33.83 deg, I 42
- 36.36 deg, I 27
- 37.92 deg, I 74
- 38.47 deg, I 100
- 40.02 deg, I 41
- 42.24 deg, I 19
- 63.81 deg, I 42
- 66.72 deg, I 34
- 66.82 deg, I 25

Computed X-ray diffraction stick pattern of SrCu2Ge2 for λ = 1.5418 Å (Cu Kα), from a crystal structure in the Materials Project, relaxed with GGA-PBE.

```
5
Lattice="-2.1408 2.1408 5.1510 2.1408 -2.1408 5.1510 2.1408 2.1408 -5.1510" Properties=species:S:1:pos:R:3 pbc="T T T"
Sr 0.0000 0.0000 0.0000
Cu 2.1408 0.0000 2.5755
Cu 0.0000 2.1407 2.5755
Ge 0.0000 0.0000 3.8473
Ge 0.0000 0.0000 6.4547
```

The 10 most intense peaks (10° ≤ 2θ ≤ 90°), in order of rising 2θ:
- 33.45 deg, I 84
- 34.36 deg, I 100
- 42.21 deg, I 79
- 46.28 deg, I 34
- 49.07 deg, I 26
- 54.90 deg, I 40
- 61.23 deg, I 25
- 62.15 deg, I 18
- 66.68 deg, I 20
- 72.13 deg, I 21

Computed X-ray diffraction stick pattern of CsHo3 for λ = 1.5418 Å (Cu Kα), from a crystal structure in the Materials Project, relaxed with GGA-PBE.

```
4
Lattice="5.2994 0.0000 0.0000 0.0000 5.2994 0.0000 0.0000 0.0000 5.2994" Properties=species:S:1:pos:R:3 pbc="T T T"
Cs 0.0000 0.0000 0.0000
Ho 0.0000 2.6497 2.6497
Ho 2.6497 0.0000 2.6497
Ho 2.6497 2.6497 0.0000
```

The 10 most intense peaks (10° ≤ 2θ ≤ 90°), in order of rising 2θ:
- 16.73 deg, I 1
- 23.74 deg, I 1
- 29.19 deg, I 100
- 33.83 deg, I 51
- 48.59 deg, I 37
- 57.69 deg, I 44
- 60.52 deg, I 13
- 71.17 deg, I 6
- 78.71 deg, I 18
- 81.17 deg, I 17

Computed X-ray diffraction stick pattern of EuZrO3 for λ = 1.5418 Å (Cu Kα), from a crystal structure in the Materials Project, relaxed with GGA-PBE.

```
20
Lattice="5.9076 0.0000 0.0000 0.0000 8.2442 0.0000 0.0000 0.0000 5.7946" Properties=species:S:1:pos:R:3 pbc="T T T"
Eu 0.2626 2.0610 0.0727
Eu 2.6913 6.1831 2.9700
Eu 3.2164 2.0610 2.8246
Eu 5.6451 6.1831 5.7219
Zr 0.0000 0.0000 2.8973
Zr 0.0000 4.1221 2.8973
Zr 2.9538 0.0000 0.0000
Zr 2.9538 4.1221 0.0000
O 0.1638 6.1831 2.3570
O 1.2446 4.5345 4.5829
O 1.2446 7.8317 4.5829
O 1.7092 0.4124 1.6856
O 1.7092 3.7096 1.6856
O 2.7900 2.0610 5.2543
O 3.1177 6.1831 0.5403
O 4.1984 4.5345 4.1089
O 4.1984 7.8317 4.1089
O 4.6630 0.4124 1.2117
O 4.6630 3.7096 1.2117
O 5.7438 2.0610 3.4376
```

The 10 most intense peaks (10° ≤ 2θ ≤ 90°), in order of rising 2θ:
- 30.26 deg, I 22
- 30.62 deg, I 100
- 30.86 deg, I 24
- 43.77 deg, I 23
- 43.93 deg, I 13
- 53.98 deg, I 14
- 54.27 deg, I 10
- 54.71 deg, I 34
- 63.75 deg, I 13
- 88.99 deg, I 11

Computed X-ray diffraction stick pattern of LiGd2RuO6 for λ = 1.5418 Å (Cu Kα), from a crystal structure in the Materials Project, relaxed with GGA-PBE.

```
20
Lattice="5.3866 0.0000 0.0000 0.0000 5.7761 0.0000 -5.3156 0.0000 7.6869" Properties=species:S:1:pos:R:3 pbc="T T T"
Li 0.0000 0.0000 0.0000
Li -2.6578 2.8880 3.8434
Gd -2.7337 0.4445 5.7514
Gd -0.0760 2.4435 1.9080
Gd 0.1470 3.3326 5.7789
Gd 2.8048 5.3316 1.9354
Ru 0.0355 0.0000 3.8434
Ru 2.6933 2.8880 0.0000
O -1.6046 1.0409 3.4327
O -4.2623 1.8471 7.2761
O -0.9030 4.0754 3.3862
O -3.5608 4.5888 7.2296
O 0.6175 0.2202 1.9623
O -2.0403 2.6679 5.8057
O 2.1113 3.1082 1.8812
O -0.5464 5.5559 5.7246
O 3.6318 1.1873 0.4572
O 0.9741 1.7007 4.3007
O 4.3334 3.9290 0.4107
O 1.6756 4.7352 4.2541
```

The 10 most intense peaks (10° ≤ 2θ ≤ 90°), in order of rising 2θ:
- 19.22 deg, I 36
- 22.57 deg, I 43
- 23.14 deg, I 32
- 30.96 deg, I 33
- 32.44 deg, I 99
- 32.66 deg, I 100
- 33.14 deg, I 39
- 33.27 deg, I 53
- 51.81 deg, I 47
- 58.77 deg, I 35

Computed X-ray diffraction stick pattern of Na2UBr6 for λ = 1.5418 Å (Cu Kα), from a crystal structure in the Materials Project, relaxed with GGA-PBE.

```
27
Lattice="12.7141 0.0000 0.0000 -6.3570 11.0107 0.0000 0.0000 0.0000 6.6840" Properties=species:S:1:pos:R:3 pbc="T T T"
Na -2.1523 3.7278 0.0000
Na -4.2048 7.2829 0.0000
Na 4.3045 0.0000 0.0000
Na 2.1523 3.7278 0.0000
Na 8.4095 0.0000 0.0000
Na 4.2048 7.2829 0.0000
U 0.0000 0.0000 0.0000
U 0.0000 7.3405 3.2917
U 6.3570 3.6702 3.3923
Br 0.0000 2.3154 1.5659
Br -4.3519 9.8530 1.5659
Br -1.9831 6.1956 1.6663
Br 2.0052 1.1577 5.1181
Br 0.0000 5.0435 4.8766
Br -1.9892 8.4889 4.8766
Br 1.9830 6.1956 1.6663
Br 0.0000 9.6303 1.6663
Br 4.3678 2.5218 1.8074
Br 1.9892 8.4889 4.8766
Br 6.3570 1.3804 5.0177
Br 4.3740 4.8151 5.0177
Br 8.3462 2.5218 1.8074
Br 6.3570 5.9672 1.8074
Br 4.3519 9.8530 1.5659
Br 8.3401 4.8151 5.0177
Br 10.7089 1.1577 5.1181
Br 6.3570 8.6953 5.1181
```

The 10 most intense peaks (10° ≤ 2θ ≤ 90°), in order of rising 2θ:
- 13.93 deg, I 77
- 15.51 deg, I 58
- 20.90 deg, I 27
- 25.21 deg, I 25
- 27.73 deg, I 100
- 36.36 deg, I 72
- 42.67 deg, I 48
- 47.75 deg, I 20
- 57.27 deg, I 19
- 71.97 deg, I 19

Computed X-ray diffraction stick pattern of Si4Mo8Pt5 for λ = 1.5418 Å (Cu Kα), from a crystal structure in the Materials Project, relaxed with GGA-PBE.

```
34
Lattice="6.9110 -4.0290 0.0000 6.9110 4.0290 0.0000 -1.9075 0.0000 9.4822" Properties=species:S:1:pos:R:3 pbc="T T T"
Si 2.8080 1.8900 2.3544
Si 5.9572 3.2101 4.7411
Si 2.3271 1.0712 4.7350
Si 1.3734 -1.0712 9.4761
Si 1.8542 -1.8900 7.0955
Si 9.2075 1.2390 4.5934
Si 8.2538 -1.2390 9.3345
Si 6.9110 -3.2101 0.0000
Mo 3.9240 2.4198 8.6557
Mo 6.3632 3.3168 7.5088
Mo 2.0204 0.7268 7.5861
Mo 4.3925 1.6381 6.3917
Mo 2.9742 -0.7268 2.8450
Mo 5.1604 0.5506 3.7269
Mo 6.3530 0.7159 8.4609
Mo 4.2067 -0.5506 8.4680
Mo 5.3463 -1.6381 1.6506
Mo 9.7857 0.8153 1.8879
Mo 7.3068 -0.7159 3.7198
Mo 4.8777 -2.4198 3.9146
Mo 11.2177 0.6223 6.6500
Mo 8.8320 -0.8153 6.6290
Mo 7.3170 -3.3168 2.7677
Mo 12.1714 -0.6223 1.9089
Pt 4.4835 0.8544 0.9304
Pt 7.9795 2.7886 0.7842
Pt 7.3951 1.9773 3.1631
Pt 3.5298 -0.8544 5.6715
Pt 6.9997 1.0999 5.8129
Pt 9.4816 0.8203 8.9710
Pt 7.9535 -1.0999 1.0718
Pt 6.4414 -1.9773 7.9042
Pt 10.4354 -0.8203 4.2299
Pt 7.0257 -2.7886 5.5253
```

The 10 most intense peaks (10° ≤ 2θ ≤ 90°), in order of rising 2θ:
- 26.31 deg, I 94
- 26.50 deg, I 100
- 28.31 deg, I 67
- 38.90 deg, I 80
- 39.22 deg, I 89
- 40.54 deg, I 99
- 41.58 deg, I 67
- 41.99 deg, I 63
- 43.88 deg, I 65
- 45.38 deg, I 72

Computed X-ray diffraction stick pattern of Te3Pd5 for λ = 1.5418 Å (Cu Kα), from a crystal structure in the Materials Project, relaxed with GGA-PBE.

```
16
Lattice="0.0000 5.9745 5.9745 5.9745 0.0000 5.9745 5.9745 5.9745 0.0000" Properties=species:S:1:pos:R:3 pbc="T T T"
Te 0.0000 0.0000 0.0000
Te 2.9873 2.9873 0.0000
Te 2.9873 0.0000 2.9873
Te 4.4809 4.4809 4.4809
Te 0.0000 2.9873 2.9873
Te 7.4682 7.4682 7.4682
Pd 1.4936 1.4936 1.4936
Pd 2.9928 2.9928 2.9928
Pd 5.9690 5.9690 2.9928
Pd 5.9690 2.9928 5.9690
Pd 8.9563 5.9801 5.9801
Pd 2.9928 5.9690 5.9690
Pd 5.9801 8.9563 5.9801
Pd 5.9801 5.9801 8.9563
Pd 8.9563 8.9563 8.9563
Pd 10.4554 10.4554 10.4554
```

The 10 most intense peaks (10° ≤ 2θ ≤ 90°), in order of rising 2θ:
- 12.83 deg, I 20
- 21.03 deg, I 42
- 24.71 deg, I 19
- 25.83 deg, I 11
- 29.91 deg, I 33
- 36.85 deg, I 20
- 42.81 deg, I 100
- 62.15 deg, I 16
- 70.49 deg, I 11
- 78.42 deg, I 33

Computed X-ray diffraction stick pattern of ErCuSn for λ = 1.5418 Å (Cu Kα), from a crystal structure in the Materials Project, relaxed with GGA-PBE.

```
6
Lattice="4.5205 0.0000 0.0000 -2.2603 3.9149 0.0000 0.0000 0.0000 7.2580" Properties=species:S:1:pos:R:3 pbc="T T T"
Er 0.0000 0.0000 0.0000
Er 0.0000 0.0000 3.6290
Cu 0.0000 2.6099 1.8145
Cu 2.2603 1.3050 5.4435
Sn 0.0000 2.6099 5.4435
Sn 2.2603 1.3050 1.8145
```

The 10 most intense peaks (10° ≤ 2θ ≤ 90°), in order of rising 2θ:
- 22.71 deg, I 10
- 33.68 deg, I 100
- 39.89 deg, I 59
- 50.28 deg, I 10
- 53.16 deg, I 27
- 66.03 deg, I 27
- 68.48 deg, I 26
- 72.42 deg, I 10
- 83.68 deg, I 8
- 86.02 deg, I 7